Structure and calculated powder diffraction line list of Cs2RbMoO4 (a structure optimized by DFT (GGA+U); Cu Kα X-rays).
Intensities are scaled so that the largest is 100.

Structural model:
a b c (Å): 6.932 6.932 8.436
angles (deg): 90.00 90.00 90.00
Space group I-4 (No. 82)
Asymmetric unit:
Cs (0.000, 0.000, 0.000) (multiplicity 2)
Cs (0.000, 0.500, 0.250) (multiplicity 2)
Rb (0.000, 0.000, 0.500) (multiplicity 2)
Mo (0.000, 0.500, 0.750) (multiplicity 2)
O (0.158, 0.323, 0.643) (multiplicity 8)

Largest 8 diffraction maxima, low angle first, 2θ = 10–90°:
(2 0 0), 2θ 25.70, I = 51
(1 1 2), 2θ 27.91, I = 100
(2 2 0), 2θ 36.67, I = 25
(3 1 2), 2θ 46.70, I = 45
(2 0 4), 2θ 50.67, I = 20
(2 2 4), 2θ 57.67, I = 12
(4 2 0), 2θ 59.65, I = 12
(1 5 2), 2θ 73.14, I = 12